(1)
For Mg3ZnGa3, a structure optimized by DFT (PBE) gives the simulated powder X-ray diffraction pattern in this record (λ = 1.5418 Å (Cu Kα)).

Crystal structure
```
Mg3ZnGa3
1.0
4.948 -2.089 0.000
4.948 2.089 0.000
-4.242 0.000 13.214
Mg Zn Ga
6 2 6
direct
0.019 0.019 0.374 Mg
0.106 0.106 0.925 Mg
0.231 0.231 0.226 Mg
0.769 0.769 0.774 Mg
0.894 0.894 0.075 Mg
0.981 0.981 0.626 Mg
0.269 0.269 0.620 Zn
0.731 0.731 0.380 Zn
0.363 0.363 0.457 Ga
0.385 0.385 0.924 Ga
0.488 0.488 0.774 Ga
0.512 0.512 0.226 Ga
0.615 0.615 0.076 Ga
0.637 0.637 0.543 Ga
```

Most intense lines, 10° ≤ 2θ ≤ 80°, low angle first:
Position (°2θ)	I/Imax
17.95	40
23.29	79
27.84	40
32.89	50
33.60	66
39.43	47
41.48	100
42.92	28
43.32	56
50.33	22

(2)
For Pm2Zn5Au12, a structure optimized by DFT (PBE) gives the simulated powder X-ray diffraction pattern in this record (λ = 1.5418 Å (Cu Kα)).

Crystal structure
```
Pm2Zn5Au12
1.0
4.682 2.703 4.767
-4.682 2.703 4.767
0.000 -5.406 4.767
Pm Zn Au
2 5 12
direct
0.148 0.148 0.148 Pm
0.852 0.852 0.852 Pm
0.000 0.500 0.500 Zn
0.404 0.404 0.404 Zn
0.500 0.000 0.500 Zn
0.500 0.500 0.000 Zn
0.596 0.596 0.596 Zn
0.159 0.159 0.637 Au
0.159 0.637 0.159 Au
0.194 0.500 0.806 Au
0.194 0.806 0.500 Au
0.363 0.841 0.841 Au
0.500 0.194 0.806 Au
0.500 0.806 0.194 Au
0.637 0.159 0.159 Au
0.806 0.194 0.500 Au
0.806 0.500 0.194 Au
0.841 0.363 0.841 Au
0.841 0.841 0.363 Au
```

Most intense lines, 10° ≤ 2θ ≤ 80°, low angle first:
Position (°2θ)	I/Imax
18.95	31
33.14	26
33.41	36
37.74	34
38.28	100
38.46	28
42.56	18
43.05	60
62.63	17
69.56	18

Q: Number 2 is which compound?
A: Pm2Zn5Au12

Q: Number 2 is which compound?
A: Pm2Zn5Au12